Simulated PXRD pattern
Compound: Na6MgZr3Si2P4O24
Radiation: Cu Kα, 1.54184 Å
Structure: the PBE geometry in the Materials Project
Kinematic intensities with the Lorentz-polarization factor, no thermal factor.

Cell and atoms:
```
data_Na6MgZr3Si2P4O24
_symmetry_space_group_name_H-M 'P 1'
_symmetry_Int_Tables_number 1
_cell_length_a 9.1121
_cell_length_b 9.1456
_cell_length_c 9.1706
_cell_angle_alpha 60.18
_cell_angle_beta 89.66
_cell_angle_gamma 60.14
loop_
_symmetry_equiv_pos_as_xyz
'x,y,z'
loop_
_atom_site_label
_atom_site_fract_x
_atom_site_fract_y
_atom_site_fract_z
Na1 0.0000 0.0000 0.0000
Na2 0.0811 0.5214 0.2266
Na3 0.3968 0.8712 0.1861
Na4 0.5052 0.9827 0.5248
Na5 0.6309 0.0928 0.7930
Na6 0.8892 0.4936 0.7680
Mg1 0.6410 0.7077 0.9393
Zr1 0.1440 0.7096 0.4418
Zr2 0.3631 0.2881 0.0649
Zr3 0.8591 0.2916 0.5568
Si1 0.2528 0.1992 0.7483
Si2 0.7502 0.7989 0.2469
P1 0.0388 0.2156 0.2320
P2 0.4601 0.4993 0.2516
P3 0.5463 0.5056 0.7436
P4 0.9581 0.7910 0.7607
O1 0.0158 0.7904 0.6005
O2 0.0729 0.1951 0.7457
O3 0.0860 0.0173 0.2508
O4 0.1130 0.5938 0.9345
O5 0.1964 0.4259 0.5742
O6 0.2161 0.2063 0.2436
O7 0.2838 0.6601 0.2599
O8 0.2886 0.2061 0.9233
O9 0.3907 0.6320 0.5724
O10 0.4177 0.3583 0.2421
O11 0.4261 0.0156 0.7550
O12 0.4961 0.3884 0.9051
O13 0.5002 0.6229 0.0923
O14 0.5752 0.9862 0.2463
O15 0.5894 0.6401 0.7579
O16 0.6149 0.3635 0.4279
O17 0.7142 0.7986 0.0752
O18 0.7170 0.3298 0.7457
O19 0.7847 0.8006 0.7528
O20 0.7951 0.5812 0.4265
O21 0.8891 0.4072 0.0601
O22 0.9229 0.8142 0.2577
O23 0.9232 0.9819 0.7496
O24 0.9885 0.2166 0.3956
```

Top 10 peaks for 5° ≤ 2θ ≤ 70°, low angle first:
index	d [Å]	2theta	I_rel
1 1 1	6.498	13.63	40.5
1 0 1	4.619	19.21	50.3
-1 1 1	4.580	19.38	100.0
1 2 0	3.912	22.73	65.5
-1 1 2	3.890	22.86	34.8
2 1 2	2.918	30.64	49.9
1 2 -1	2.908	30.74	49.4
-1 1 3	2.893	30.91	52.1
0 3 2	2.644	33.91	44.4
3 0 -1	2.634	34.04	63.7